Starting from a cell relaxed with PBE, the PXRD pattern of Li2SiF6 was computed for Cu Ka.
Intensities are scaled so that the largest is 100.

Crystal structure
Cell: 8.351 8.351 4.630 Å, 90.00 90.00 120.00°
Atoms (fractional coordinates):
Li 0.000 0.295 0.000
Li 0.000 0.631 0.500
Li 0.295 0.000 0.000
Li 0.369 0.369 0.500
Li 0.631 0.000 0.500
Li 0.705 0.705 0.000
Si 0.000 0.000 0.500
Si 0.333 0.667 0.985
Si 0.667 0.333 0.015
F 0.093 0.898 0.710
F 0.102 0.195 0.710
F 0.139 0.556 0.774
F 0.195 0.102 0.290
F 0.228 0.756 0.195
F 0.244 0.472 0.195
F 0.416 0.861 0.774
F 0.444 0.584 0.774
F 0.472 0.244 0.805
F 0.528 0.772 0.195
F 0.556 0.139 0.226
F 0.584 0.444 0.226
F 0.756 0.228 0.805
F 0.772 0.528 0.805
F 0.805 0.907 0.710
F 0.861 0.416 0.226
F 0.898 0.093 0.290
F 0.907 0.805 0.290

Most intense lines, 5 to 70 degrees two-theta, sorted by position:
(hkl), two_theta, intensity
1 1 0, 21.28, 79
0 1 1, 22.81, 67
1 1 1, 28.79, 7
2 0 1, 31.39, 17
0 0 2, 38.91, 11
3 0 1, 42.27, 100
3 0 2, 54.99, 36
2 2 2, 59.64, 9
4 1 1, 62.14, 11
3 3 0, 67.27, 18